For Th3Te4, a DFT-relaxed cell (GGA-PBE, Alexandria) gives the calculated PXRD pattern in this record (Cu Kα, 1.54184 Å).

Largest 6 diffraction maxima, in order of rising 2θ, 10° ≤ 2θ ≤ 90°:
- d = 3.760 Å, intensity 196
- d = 3.138 Å, intensity 1000
- d = 3.101 Å, intensity 473
- d = 2.205 Å, intensity 928
- d = 1.813 Å, intensity 202
- d = 1.796 Å, intensity 199

Atomic structure:
```
data_Th3Te4
_cell_length_a 8.940
_cell_length_b 12.405
_cell_length_c 4.405
_cell_angle_alpha 90.00
_cell_angle_beta 90.00
_cell_angle_gamma 90.00
_symmetry_space_group_name_H-M 'C m m m'
_symmetry_Int_Tables_number 65
_symmetry_space_group_name_Hall '-C 2 2'
loop_
_atom_site_label
_atom_site_fract_x
_atom_site_fract_y
_atom_site_fract_z
Th1 0.000 0.000 0.000
Th2 0.250 0.250 0.500
Te1 0.000 0.265 0.000
Te2 0.238 0.500 0.500
```